No. 1
PrYGa2Cu2: computed PXRD pattern (λ = 1.5418 Å (Cu Kα)), based on a GGA-PBE-relaxed structure.

abc: 4.405 4.405 7.355
angles: 90.00 90.00 120.00
Positions (direct):
Pr1 0.000 0.000 0.000
Y1 0.000 0.000 0.500
Ga1 0.333 0.667 0.271
Ga2 0.667 0.333 0.729
Cu1 0.333 0.667 0.720
Cu2 0.667 0.333 0.280

Largest 6 diffraction maxima, by angle, 2θ = 10–90°:
Position (°2θ)	d_spacing	I (rel.)
33.86	2.648	100
40.98	2.203	58
54.17	1.693	25
66.21	1.412	21
70.10	1.342	23
74.64	1.272	9

***

No. 2
NdEuCu: computed PXRD pattern (λ = 1.5418 Å (Cu Kα)), based on a GGA-PBE-relaxed structure.

abc: 3.653 3.653 12.938
angles: 90.00 90.00 90.00
Positions (direct):
Nd1 0.000 0.000 0.000
Nd2 0.500 0.500 0.500
Eu1 0.000 0.000 0.732
Eu2 0.500 0.500 0.232
Cu1 0.000 0.000 0.378
Cu2 0.500 0.500 0.878

Largest 6 diffraction maxima, by angle, 2θ = 10–90°:
Position (°2θ)	d_spacing	I (rel.)
25.34	3.515	31
32.11	2.787	100
34.73	2.583	56
42.83	2.112	20
44.91	2.018	21
60.62	1.528	32

***

No. 3
FeTcIr2: computed PXRD pattern (λ = 1.5418 Å (Cu Kα)), based on a GGA-PBE-relaxed structure.

abc: 5.408 7.591 2.711
angles: 90.00 90.00 90.00
Positions (direct):
Fe1 0.000 0.000 0.000
Fe2 0.500 0.500 0.000
Tc1 0.000 0.500 0.000
Tc2 0.500 0.000 0.000
Ir1 0.250 0.250 0.500
Ir2 0.250 0.750 0.500
Ir3 0.750 0.250 0.500
Ir4 0.750 0.750 0.500

Largest 6 diffraction maxima, by angle, 2θ = 10–90°:
Position (°2θ)	d_spacing	I (rel.)
23.44	3.795	17
33.08	2.708	15
40.94	2.204	100
47.49	1.915	33
47.94	1.898	16
69.78	1.348	21

***

No. 4
Y11Mg9Ag4: computed PXRD pattern (λ = 1.5418 Å (Cu Kα)), based on a GGA-PBE-relaxed structure.

abc: 13.568 13.568 3.740
angles: 90.00 90.00 113.22
Positions (direct):
Y1 0.000 0.000 0.000
Y2 0.071 0.414 0.000
Y3 0.160 0.840 0.000
Y4 0.288 0.288 0.000
Y5 0.362 0.638 0.000
Y6 0.414 0.071 0.000
Y7 0.586 0.929 0.000
Y8 0.638 0.362 0.000
Y9 0.712 0.712 0.000
Y10 0.840 0.160 0.000
Y11 0.929 0.586 0.000
Mg1 0.063 0.213 0.500
Mg2 0.150 0.633 0.500
Mg3 0.213 0.063 0.500
Mg4 0.367 0.850 0.500
Mg5 0.500 0.500 0.500
Mg6 0.633 0.150 0.500
Mg7 0.787 0.937 0.500
Mg8 0.850 0.367 0.500
Mg9 0.937 0.787 0.500
Ag1 0.255 0.450 0.500
Ag2 0.450 0.255 0.500
Ag3 0.550 0.745 0.500
Ag4 0.745 0.550 0.500

Largest 6 diffraction maxima, by angle, 2θ = 10–90°:
Position (°2θ)	d_spacing	I (rel.)
18.25	4.862	20
33.74	2.656	100
33.93	2.642	56
36.00	2.495	22
48.72	1.869	19
60.58	1.528	27

***

No. 5
MgCoCl4: computed PXRD pattern (λ = 1.5418 Å (Cu Kα)), based on a GGA-PBE-relaxed structure.

abc: 6.255 3.609 6.641
angles: 90.00 93.59 90.00
Positions (direct):
Mg1 0.000 0.000 0.000
Co1 0.500 0.500 0.000
Cl1 0.159 0.500 0.794
Cl2 0.354 0.000 0.201
Cl3 0.646 0.000 0.799
Cl4 0.841 0.500 0.206

Largest 6 diffraction maxima, by angle, 2θ = 10–90°:
Position (°2θ)	d_spacing	I (rel.)
13.36	6.628	100
31.26	2.861	45
32.46	2.758	27
38.99	2.310	36
50.62	1.803	25
51.40	1.778	16

***

No. 6
Ba4TlI5: computed PXRD pattern (λ = 1.5418 Å (Cu Kα)), based on a GGA-PBE-relaxed structure.

abc: 11.376 11.376 10.436
angles: 107.26 107.26 25.06
Positions (direct):
Ba1 0.001 0.001 0.249
Ba2 0.333 0.333 0.886
Ba3 0.667 0.667 0.114
Ba4 0.999 0.999 0.751
Tl1 0.500 0.500 0.000
I1 0.167 0.167 0.345
I2 0.169 0.169 0.869
I3 0.500 0.500 0.500
I4 0.831 0.831 0.131
I5 0.833 0.833 0.655

Largest 6 diffraction maxima, by angle, 2θ = 10–90°:
Position (°2θ)	d_spacing	I (rel.)
24.86	3.581	100
25.25	3.527	52
34.80	2.578	42
36.40	2.468	20
36.64	2.453	35
44.80	2.023	30